# Sr2Nd2TlNi2O9
Theoretical X-ray diffraction stick pattern, Cu Kα, 1.54184 Å. Input: a crystal structure in Alexandria, relaxed with PBE+U.

Principal peaks in the range 2θ = 10–90°, in order of rising 2θ:
d/Å	I (rel.)
3.567	32.2
2.850	100.0
2.713	33.5
2.688	34.0
2.142	12.4
1.909	31.4
1.591	17.3
1.581	17.8

Cell and atoms:
abc: 15.2365 3.8186 15.2321
angles: 82.87 14.40 82.73
Positions (direct):
1 Sr 0.0840 0.9160 0.0840
2 Sr 0.9160 0.0840 0.9160
3 Nd 0.2018 0.7965 0.2035
4 Nd 0.7965 0.2018 0.7982
5 Tl 0.5317 0.5317 0.4683
6 Ni 0.3521 0.6455 0.3545
7 Ni 0.6455 0.3521 0.6479
8 O 0.1477 0.3505 0.1503
9 O 0.2788 0.7177 0.2823
10 O 0.3505 0.1477 0.3515
11 O 0.4183 0.5590 0.4410
12 O 0.5590 0.4183 0.5817
13 O 0.6485 0.8497 0.6495
14 O 0.7177 0.2788 0.7212
15 O 0.8497 0.6485 0.8523
16 O 0.9623 0.9623 0.0377